1.
# Y4Fe2Si
Theoretical powder XRD pattern, Cu Kα. Input: the GGA-PBE geometry in Alexandria.
Kinematic intensities with the Lorentz-polarization factor, no thermal factor.

Crystal structure
```
data_Y4Fe2Si
_chemical_formula_sum 'Y8 Fe4 Si2'
_cell_length_a 9.195
_cell_length_b 9.195
_cell_length_c 3.954
_cell_angle_alpha 90.00
_cell_angle_beta 90.00
_cell_angle_gamma 90.00
_space_group_name_H-M_alt 'P 42/m n m'
_space_group_IT_number 136
_space_group_name_Hall '-P 4n 2n'
loop_
_atom_site_label
_atom_site_type_symbol
_atom_site_fract_x
_atom_site_fract_y
_atom_site_fract_z
Y1 Y 0.000 0.266 0.000
Fe1 Fe 0.174 0.174 0.500
Si1 Si 0.000 0.000 0.500
```

Peak list (10 most intense, 2θ = 5–70°, sorted by position)
index	d (Å)	intensity
2 1 0	4.112	27
2 2 0	3.251	79
2 1 1	2.850	100
3 0 1	2.422	88
4 0 0	2.299	41
3 2 1	2.143	56
0 0 2	1.977	29
2 2 2	1.689	23
5 2 1	1.568	26
6 2 0	1.454	21

***

2.
# PmFeCuC
Theoretical powder XRD pattern, Cu Kα. Input: the GGA-PBE geometry in Alexandria.
Kinematic intensities with the Lorentz-polarization factor, no thermal factor.

Crystal structure
```
data_PmFeCuC
_chemical_formula_sum 'Pm2 Fe2 Cu2 C2'
_cell_length_a 3.441
_cell_length_b 3.441
_cell_length_c 9.971
_cell_angle_alpha 90.00
_cell_angle_beta 90.00
_cell_angle_gamma 90.00
_space_group_name_H-M_alt 'P 4/n m m'
_space_group_IT_number 129
loop_
_space_group_symop_operation_xyz
'x,y,z'
'-x,-y,-z'
'-y+1/2,x,z'
'y+1/2,-x,-z'
'-x+1/2,-y+1/2,z'
'x+1/2,y+1/2,-z'
'y,-x+1/2,z'
'-y,x+1/2,-z'
'x+1/2,-y,-z'
'-x+1/2,y,z'
'-y,-x,-z'
'y,x,z'
'-x,y+1/2,-z'
'x,-y+1/2,z'
'y+1/2,x+1/2,-z'
'-y+1/2,-x+1/2,z'
loop_
_atom_site_label
_atom_site_type_symbol
_atom_site_fract_x
_atom_site_fract_y
_atom_site_fract_z
Pm1 Pm 0.250 0.250 0.242
Fe1 Fe 0.250 0.750 0.000
Cu1 Cu 0.250 0.750 0.500
C1 C 0.250 0.250 0.906
```

Peak list (10 most intense, 2θ = 5–70°, sorted by position)
index	d (Å)	intensity
1 0 1	3.252	81
0 0 4	2.493	35
1 0 3	2.390	43
1 1 2	2.186	100
1 0 5	1.725	13
2 0 0	1.720	26
2 1 1	1.521	18
2 0 4	1.416	23
2 1 3	1.396	15
1 1 6	1.372	22

***

Which formula does entry 2 have? PmFeCuC